Structure and theoretical powder XRD pattern of MgFe4Si2Sn7O16 (the GGA+U geometry in Alexandria; Cu Kα, 1.54184 Å).

Crystal structure
Cell: 12.091 6.954 10.269 Å, 90.00 90.48 90.00°
Space group Cm (No. 8)
Unique sites:
Mg: 0.000 0.000 0.000 x2
Fe: 0.005 0.254 0.537 x4
Fe: 0.256 0.000 0.530 x2
Fe: 0.267 0.500 0.036 x2
Si: 0.098 0.000 0.776 x2
Si: 0.419 0.000 0.293 x2
Sn: 0.097 0.500 0.851 x2
Sn: 0.171 0.255 0.225 x4
Sn: 0.252 0.500 0.540 x2
Sn: 0.336 0.247 0.845 x4
Sn: 0.412 0.500 0.248 x2
O: 0.037 0.181 0.851 x4
O: 0.082 0.000 0.167 x2
O: 0.089 0.000 0.619 x2
O: 0.094 0.500 0.643 x2
O: 0.171 0.262 0.434 x4
O: 0.226 0.000 0.827 x2
O: 0.288 0.000 0.246 x2
O: 0.337 0.264 0.641 x4
O: 0.420 0.500 0.447 x2
O: 0.422 0.000 0.455 x2
O: 0.429 0.000 0.876 x2
O: 0.482 0.195 0.243 x4

Largest 12 diffraction maxima, in order of rising 2θ, 10° ≤ 2θ ≤ 90°:
two_theta	I (rel.)	h k l
14.68	19	1 1 0
26.03	50	0 0 3
30.76	34	4 0 -1
30.94	100	2 2 1
34.44	37	2 2 -2
34.56	27	4 0 2
46.20	13	4 0 -4
46.57	28	2 2 4
52.49	28	6 2 0
52.65	16	0 4 0
59.67	19	6 2 3
62.25	16	4 4 -1